1.
Diffraction record for La4NdHo2Th. The powder diffraction line list is calculated, not measured: it uses a structure optimized by DFT (PBE) and Cu Ka.
Kinematic intensities with the Lorentz-polarization factor, no thermal factor.

Largest 10 diffraction maxima, in order of rising 2θ, 10° ≤ 2θ ≤ 90°:
2θ = 29.9°, I = 100
2θ = 34.6°, I = 34
2θ = 34.8°, I = 17
2θ = 49.8°, I = 18
2θ = 50.0°, I = 18
2θ = 59.2°, I = 29
2θ = 59.4°, I = 14
2θ = 62.2°, I = 13
2θ = 81.1°, I = 9
2θ = 83.5°, I = 7

Structure:
```
La4NdHo2Th
1.0
5.152 0.000 0.000
0.000 5.175 0.000
-0.008 0.000 10.367
La Nd Ho Th
4 1 2 1
Direct
0.000 0.000 0.246
0.000 0.000 0.754
0.500 0.500 0.246
0.500 0.500 0.754
0.000 0.500 0.500
0.000 0.500 0.000
0.500 0.000 0.500
0.500 0.000 0.000
```

***

2.
Diffraction record for Dy2ZnSi3Ir4. The powder diffraction line list is calculated, not measured: it uses a structure optimized by DFT (PBE) and Cu Ka.
Kinematic intensities with the Lorentz-polarization factor, no thermal factor.

Largest 10 diffraction maxima, in order of rising 2θ, 10° ≤ 2θ ≤ 90°:
2θ = 26.6°, I = 22
2θ = 28.0°, I = 24
2θ = 32.0°, I = 41
2θ = 34.5°, I = 44
2θ = 35.6°, I = 100
2θ = 44.0°, I = 57
2θ = 50.5°, I = 26
2θ = 57.0°, I = 21
2θ = 69.2°, I = 20
2θ = 75.4°, I = 25

Structure:
```
Dy2ZnSi3Ir4
1.0
4.120 0.000 0.000
0.000 4.120 0.000
0.000 0.000 10.052
Dy Zn Si Ir
2 1 3 4
Direct
0.000 0.500 0.249
0.500 0.000 0.751
0.500 0.500 0.000
0.000 0.000 0.000
0.000 0.500 0.628
0.500 0.000 0.372
0.000 0.000 0.500
0.000 0.500 0.862
0.500 0.000 0.138
0.500 0.500 0.500
```

***

3.
Diffraction record for Ho2Tm2Te5. The powder diffraction line list is calculated, not measured: it uses a structure optimized by DFT (PBE) and Cu Ka.
Kinematic intensities with the Lorentz-polarization factor, no thermal factor.

Largest 10 diffraction maxima, in order of rising 2θ, 10° ≤ 2θ ≤ 90°:
2θ = 19.4°, I = 31
2θ = 29.2°, I = 81
2θ = 29.4°, I = 100
2θ = 29.7°, I = 97
2θ = 37.4°, I = 24
2θ = 41.9°, I = 60
2θ = 42.2°, I = 62
2θ = 42.3°, I = 74
2θ = 52.2°, I = 64
2θ = 69.8°, I = 30

Structure:
```
Ho2Tm2Te5
1.0
3.004 -9.174 0.000
3.004 9.174 0.000
0.000 0.000 6.079
Ho Tm Te
2 2 5
Direct
0.156 0.844 0.000
0.844 0.156 0.000
0.315 0.685 0.500
0.685 0.315 0.500
0.000 0.000 0.000
0.152 0.848 0.500
0.331 0.669 0.000
0.669 0.331 0.000
0.848 0.152 0.500
```

***

4.
Diffraction record for NaTlPO4. The powder diffraction line list is calculated, not measured: it uses a structure optimized by DFT (PBE) and Cu Ka.
Kinematic intensities with the Lorentz-polarization factor, no thermal factor.

Largest 10 diffraction maxima, in order of rising 2θ, 10° ≤ 2θ ≤ 90°:
2θ = 17.0°, I = 100
2θ = 19.7°, I = 44
2θ = 27.8°, I = 41
2θ = 32.7°, I = 91
2θ = 33.0°, I = 45
2θ = 34.3°, I = 41
2θ = 39.7°, I = 30
2θ = 43.6°, I = 31
2θ = 44.7°, I = 22
2θ = 57.7°, I = 28

Structure:
```
NaTlPO4
1.0
-3.209 3.217 4.496
3.209 -3.217 4.496
3.209 3.217 -4.496
Na Tl P O
2 2 2 8
Direct
0.500 0.000 0.000
0.500 0.500 0.500
0.000 0.000 0.000
0.500 0.000 0.500
0.123 0.373 0.750
0.877 0.627 0.250
0.174 0.721 0.453
0.230 0.283 0.553
0.230 0.676 0.947
0.232 0.279 0.953
0.768 0.721 0.047
0.770 0.324 0.053
0.770 0.717 0.447
0.826 0.279 0.547
```

***

5.
Diffraction record for CaTm4MgSe8. The powder diffraction line list is calculated, not measured: it uses a structure optimized by DFT (PBE) and Cu Ka.
Kinematic intensities with the Lorentz-polarization factor, no thermal factor.

Largest 10 diffraction maxima, in order of rising 2θ, 10° ≤ 2θ ≤ 90°:
2θ = 13.1°, I = 37
2θ = 15.0°, I = 22
2θ = 21.4°, I = 32
2θ = 25.0°, I = 100
2θ = 30.4°, I = 91
2θ = 39.7°, I = 40
2θ = 39.9°, I = 24
2θ = 43.3°, I = 68
2θ = 43.6°, I = 68
2θ = 63.2°, I = 21

Structure:
```
CaTm4MgSe8
1.0
4.179 2.413 6.752
-4.179 2.413 6.752
0.000 -4.826 6.752
Ca Tm Mg Se
1 4 1 8
Direct
0.000 0.000 0.000
0.113 0.623 0.623
0.242 0.242 0.242
0.623 0.113 0.623
0.623 0.623 0.113
0.625 0.625 0.625
0.377 0.377 0.377
0.382 0.382 0.844
0.382 0.844 0.382
0.407 0.856 0.856
0.844 0.382 0.382
0.856 0.407 0.856
0.856 0.856 0.407
0.862 0.862 0.862
```

***

6.
Diffraction record for K2TaTlTe4. The powder diffraction line list is calculated, not measured: it uses a structure optimized by DFT (PBE) and Cu Ka.
Kinematic intensities with the Lorentz-polarization factor, no thermal factor.

Largest 10 diffraction maxima, in order of rising 2θ, 10° ≤ 2θ ≤ 90°:
2θ = 14.1°, I = 100
2θ = 24.4°, I = 72
2θ = 24.6°, I = 81
2θ = 28.2°, I = 39
2θ = 37.7°, I = 84
2θ = 42.9°, I = 29
2θ = 43.2°, I = 27
2θ = 45.8°, I = 20
2θ = 56.4°, I = 20
2θ = 64.3°, I = 19

Structure:
```
K2TaTlTe4
1.0
8.940 0.000 0.000
0.000 8.940 0.000
0.000 0.000 8.846
K Ta Tl Te
4 2 2 8
Direct
0.000 0.000 0.000
0.000 0.500 0.250
0.500 0.000 0.750
0.500 0.500 0.500
0.000 0.000 0.500
0.500 0.500 0.000
0.000 0.500 0.750
0.500 0.000 0.250
0.167 0.822 0.666
0.178 0.167 0.334
0.322 0.333 0.834
0.333 0.678 0.166
0.667 0.322 0.166
0.678 0.667 0.834
0.822 0.833 0.334
0.833 0.178 0.666
```

***

7.
Diffraction record for KAs3Pd5. The powder diffraction line list is calculated, not measured: it uses a structure optimized by DFT (PBE) and Cu Ka.
Kinematic intensities with the Lorentz-polarization factor, no thermal factor.

Largest 10 diffraction maxima, in order of rising 2θ, 10° ≤ 2θ ≤ 90°:
2θ = 13.5°, I = 100
2θ = 14.9°, I = 92
2θ = 31.2°, I = 53
2θ = 33.2°, I = 33
2θ = 36.2°, I = 67
2θ = 40.7°, I = 57
2θ = 41.8°, I = 71
2θ = 43.1°, I = 77
2θ = 43.9°, I = 32
2θ = 45.7°, I = 99

Structure:
```
KAs3Pd5
1.0
1.985 -6.677 0.000
1.985 6.677 0.000
0.000 0.000 13.107
K As Pd
2 6 10
Direct
0.155 0.845 0.750
0.845 0.155 0.250
0.120 0.880 0.250
0.382 0.618 0.040
0.382 0.618 0.460
0.618 0.382 0.540
0.618 0.382 0.960
0.880 0.120 0.750
0.000 0.000 0.000
0.000 0.000 0.500
0.201 0.799 0.066
0.201 0.799 0.434
0.441 0.559 0.644
0.441 0.559 0.856
0.559 0.441 0.144
0.559 0.441 0.356
0.799 0.201 0.566
0.799 0.201 0.934
```

***

8.
Diffraction record for UInS2N. The powder diffraction line list is calculated, not measured: it uses a structure optimized by DFT (PBE) and Cu Ka.
Kinematic intensities with the Lorentz-polarization factor, no thermal factor.

Largest 10 diffraction maxima, in order of rising 2θ, 10° ≤ 2θ ≤ 90°:
2θ = 13.0°, I = 24
2θ = 26.1°, I = 29
2θ = 27.0°, I = 100
2θ = 30.8°, I = 32
2θ = 33.5°, I = 66
2θ = 35.5°, I = 34
2θ = 43.0°, I = 36
2θ = 48.2°, I = 26
2θ = 52.9°, I = 20
2θ = 56.1°, I = 28

Structure:
```
UInS2N
1.0
3.778 0.000 0.000
0.000 3.778 0.000
0.000 0.000 13.640
U In S N
2 2 4 2
Direct
0.250 0.250 0.089
0.750 0.750 0.911
0.250 0.250 0.617
0.750 0.750 0.383
0.250 0.250 0.397
0.250 0.250 0.813
0.750 0.750 0.187
0.750 0.750 0.603
0.250 0.750 0.000
0.750 0.250 0.000
```

***

9.
Diffraction record for Y3GaAs2Rh9. The powder diffraction line list is calculated, not measured: it uses a structure optimized by DFT (PBE) and Cu Ka.
Kinematic intensities with the Lorentz-polarization factor, no thermal factor.

Largest 10 diffraction maxima, in order of rising 2θ, 10° ≤ 2θ ≤ 90°:
2θ = 19.2°, I = 20
2θ = 19.7°, I = 16
2θ = 34.7°, I = 64
2θ = 38.9°, I = 100
2θ = 40.1°, I = 20
2θ = 45.2°, I = 27
2θ = 53.0°, I = 15
2θ = 59.2°, I = 26
2θ = 61.9°, I = 17
2θ = 73.9°, I = 14

Structure:
```
Y3GaAs2Rh9
1.0
6.241 0.000 0.000
-3.120 5.405 0.000
0.000 0.000 9.001
Y Ga As Rh
3 1 2 9
Direct
0.000 0.000 0.000
0.333 0.667 0.725
0.667 0.333 0.275
0.000 0.000 0.500
0.333 0.667 0.175
0.667 0.333 0.825
0.000 0.500 0.000
0.141 0.282 0.277
0.141 0.859 0.277
0.282 0.141 0.723
0.500 0.000 0.000
0.500 0.500 0.000
0.718 0.859 0.277
0.859 0.141 0.723
0.859 0.718 0.723
```

***

10.
Diffraction record for Dy4MnIn. The powder diffraction line list is calculated, not measured: it uses a structure optimized by DFT (PBE) and Cu Ka.
Kinematic intensities with the Lorentz-polarization factor, no thermal factor.

Largest 10 diffraction maxima, in order of rising 2θ, 10° ≤ 2θ ≤ 90°:
2θ = 27.3°, I = 24
2θ = 29.7°, I = 24
2θ = 30.7°, I = 63
2θ = 32.0°, I = 69
2θ = 33.1°, I = 100
2θ = 35.6°, I = 23
2θ = 36.5°, I = 35
2θ = 37.6°, I = 28
2θ = 38.1°, I = 22
2θ = 56.6°, I = 25

Structure:
```
Dy4MnIn
1.0
4.376 -6.525 0.000
4.376 6.525 0.000
-1.797 0.000 5.704
Dy Mn In
8 2 2
Direct
0.059 0.726 0.953
0.204 0.360 0.617
0.274 0.941 0.547
0.360 0.204 0.117
0.640 0.796 0.883
0.726 0.059 0.453
0.796 0.640 0.383
0.941 0.274 0.047
0.001 0.999 0.750
0.999 0.001 0.250
0.375 0.625 0.250
0.625 0.375 0.750
```

***

11.
Diffraction record for LiMo6Cl13. The powder diffraction line list is calculated, not measured: it uses a structure optimized by DFT (PBE) and Cu Ka.
Kinematic intensities with the Lorentz-polarization factor, no thermal factor.

Largest 10 diffraction maxima, in order of rising 2θ, 10° ≤ 2θ ≤ 90°:
2θ = 10.4°, I = 100
2θ = 10.6°, I = 90
2θ = 13.2°, I = 22
2θ = 13.4°, I = 40
2θ = 13.6°, I = 57
2θ = 14.7°, I = 23
2θ = 15.0°, I = 14
2θ = 39.3°, I = 7
2θ = 43.4°, I = 6
2θ = 45.7°, I = 7

Structure:
```
LiMo6Cl13
1.0
9.368 0.000 0.000
2.004 9.194 0.000
4.262 3.790 13.075
Li Mo Cl
2 12 26
Direct
0.167 0.330 0.256
0.833 0.670 0.744
0.078 0.046 0.091
0.084 0.799 0.040
0.175 0.043 0.898
0.298 0.579 0.535
0.457 0.407 0.416
0.463 0.329 0.609
0.537 0.671 0.391
0.543 0.593 0.584
0.702 0.421 0.465
0.825 0.957 0.102
0.916 0.201 0.960
0.922 0.954 0.909
0.011 0.188 0.781
0.030 0.677 0.585
0.161 0.273 0.953
0.172 0.808 0.856
0.181 0.099 0.213
0.190 0.532 0.096
0.235 0.324 0.556
0.302 0.650 0.351
0.315 0.501 0.716
0.320 0.893 0.027
0.384 0.825 0.508
0.402 0.285 0.306
0.417 0.095 0.760
0.583 0.905 0.240
0.598 0.715 0.694
0.616 0.175 0.492
0.680 0.107 0.973
0.685 0.499 0.284
0.698 0.350 0.649
0.765 0.676 0.444
0.810 0.468 0.904
0.819 0.901 0.787
0.828 0.192 0.144
0.839 0.727 0.047
0.970 0.323 0.415
0.989 0.812 0.219
```

***

12.
Diffraction record for Ca2La4Tm. The powder diffraction line list is calculated, not measured: it uses a structure optimized by DFT (PBE) and Cu Ka.
Kinematic intensities with the Lorentz-polarization factor, no thermal factor.

Largest 10 diffraction maxima, in order of rising 2θ, 10° ≤ 2θ ≤ 90°:
2θ = 27.0°, I = 30
2θ = 29.9°, I = 100
2θ = 32.5°, I = 69
2θ = 36.6°, I = 17
2θ = 40.7°, I = 20
2θ = 48.5°, I = 14
2θ = 53.1°, I = 16
2θ = 54.7°, I = 15
2θ = 58.0°, I = 15
2θ = 59.7°, I = 28

Structure:
```
Ca2La4Tm
1.0
3.625 0.000 0.000
0.000 5.981 0.000
0.000 0.000 24.117
Ca La Tm
4 8 2
Direct
0.000 0.000 0.221
0.000 0.000 0.779
0.500 0.500 0.279
0.500 0.500 0.721
0.000 0.500 0.130
0.000 0.500 0.422
0.000 0.500 0.578
0.000 0.500 0.870
0.500 0.000 0.078
0.500 0.000 0.370
0.500 0.000 0.630
0.500 0.000 0.922
0.000 0.000 0.500
0.500 0.500 0.000
```